For Li2VBiO6, a structure optimized by DFT (PBE+U) gives the calculated XRD peak list in this record (CuKα).
No peak broadening, texture or thermal motion is included.

Largest 10 diffraction maxima, in order of rising 2θ, 2θ from 10° to 80°:
| 2θ/deg | I_rel |
| --- | --- |
| 19.21 | 17 |
| 20.69 | 40 |
| 23.52 | 100 |
| 32.57 | 42 |
| 34.41 | 28 |
| 39.70 | 25 |
| 42.10 | 18 |
| 48.11 | 18 |
| 52.96 | 27 |
| 55.46 | 18 |

Atomic structure:
```
Li2VBiO6
1.0
2.607 1.505 4.621
-2.607 1.505 4.621
0.000 -3.010 4.621
Li V Bi O
2 1 1 6
direct
0.000 0.000 0.000 Li
0.490 0.490 0.490 Li
0.210 0.210 0.210 V
0.711 0.711 0.711 Bi
0.111 0.822 0.397 O
0.302 0.560 0.947 O
0.397 0.111 0.822 O
0.560 0.947 0.302 O
0.822 0.397 0.111 O
0.947 0.302 0.560 O
```